Structure and computed powder diffractogram of BaFe2N (a GGA-PBE-relaxed structure; copper Kα).
Lines closer than 0.1° are merged.

Structure:
a b c (Å): 8.584 8.584 8.584
angles (deg): 90.00 90.00 90.00
Space group Fd-3m (No. 227, origin choice 2)
Unique sites:
Ba 0.125 0.125 0.125
Fe 0.000 0.000 0.500
N 0.125 0.125 0.625

Main lines, in order of rising 2θ (2θ = 10–90°):
d [Å]	I_rel	(hkl)
3.035	81	2 2 0
2.588	100	3 1 1
2.478	20	2 2 2
1.752	31	4 2 2
1.652	33	5 1 1
1.517	30	4 4 0
1.357	13	6 2 0
1.309	11	5 3 3
1.147	15	6 4 2
1.118	21	7 3 1

***

Structure and computed powder diffractogram of BaFe2SnN (a GGA-PBE-relaxed structure; copper Kα).
Lines closer than 0.1° are merged.

Structure:
```
data_BaFe2SnN
_chemical_formula_sum 'Ba1 Fe2 Sn1 N1'
_symmetry_space_group_name_H-M 'P 4/m m m'
_symmetry_Int_Tables_number 123
_symmetry_space_group_name_Hall '-P 4 2'
_cell_length_a 5.434
_cell_length_b 5.434
_cell_length_c 4.384
_cell_angle_alpha 90.00
_cell_angle_beta 90.00
_cell_angle_gamma 90.00
loop_
_atom_site_label
_atom_site_type_symbol
_atom_site_fract_x
_atom_site_fract_y
_atom_site_fract_z
Ba1 Ba 0.000 0.000 0.000
Fe1 Fe 0.000 0.500 0.000
Sn1 Sn 0.500 0.500 0.500
N1 N 0.000 0.000 0.500
```

Main lines, in order of rising 2θ (2θ = 10–90°):
d [Å]	I_rel	(hkl)
3.842	26	1 1 0
3.412	100	1 0 1
2.889	17	1 1 1
2.717	72	2 0 0
2.192	19	0 0 2
2.125	56	2 1 1
1.921	26	2 2 0
1.706	35	2 0 2
1.445	20	2 2 2
1.425	16	3 2 1